(1)
The following is a computed PXRD pattern of CaTaW2. It was derived from the GGA-PBE geometry in Alexandria, using CuKα.

Structure:
```
CaTaW2
1.0
2.832 0.000 0.000
0.000 4.544 0.000
-1.051 0.000 6.109
Ca Ta W
1 1 2
direct
0.000 0.000 0.000
0.764 0.500 0.304
0.259 0.500 0.708
0.487 0.000 0.513
```

Top 10 peaks for 10 to 90 degrees two-theta, in order of rising 2θ:
2θ 14.50, rel. 94; 2θ 35.41, rel. 100; 2θ 37.64, rel. 50; 2θ 38.59, rel. 94; 2θ 39.67, rel. 46; 2θ 44.79, rel. 22; 2θ 49.02, rel. 27; 2θ 55.83, rel. 32; 2θ 64.39, rel. 21; 2θ 70.61, rel. 17

(2)
The following is a computed PXRD pattern of CaTb8. It was derived from the GGA-PBE geometry in Alexandria, using CuKα.

Structure:
```
CaTb8
1.0
-5.376 5.376 2.546
5.376 -5.376 2.546
5.376 5.376 -2.546
Ca Tb
1 8
direct
0.000 0.000 0.000
0.000 0.338 0.338
0.000 0.662 0.662
0.328 0.328 0.656
0.328 0.672 0.000
0.338 0.000 0.338
0.662 0.000 0.662
0.672 0.328 0.000
0.672 0.672 0.344
```

Top 10 peaks for 10 to 90 degrees two-theta, in order of rising 2θ:
2θ 30.50, rel. 100; 2θ 35.25, rel. 17; 2θ 35.42, rel. 33; 2θ 50.83, rel. 24; 2θ 50.96, rel. 12; 2θ 60.33, rel. 14; 2θ 60.56, rel. 28; 2θ 63.48, rel. 12; 2θ 82.83, rel. 11; 2θ 85.66, rel. 10

(3)
The following is a computed PXRD pattern of Ca2TbTe4. It was derived from the GGA-PBE geometry in Alexandria, using CuKα.

Structure:
```
Ca2TbTe4
1.0
2.122 -7.349 0.000
2.122 7.349 0.000
0.000 0.000 15.206
Ca Tb Te
4 2 8
direct
0.137 0.863 0.572
0.137 0.863 0.928
0.863 0.137 0.072
0.863 0.137 0.428
0.382 0.618 0.750
0.618 0.382 0.250
0.034 0.966 0.750
0.211 0.789 0.124
0.211 0.789 0.376
0.500 0.500 0.000
0.500 0.500 0.500
0.789 0.211 0.624
0.789 0.211 0.876
0.966 0.034 0.250
```

Top 10 peaks for 10 to 90 degrees two-theta, in order of rising 2θ:
2θ 13.38, rel. 48; 2θ 26.40, rel. 100; 2θ 28.09, rel. 45; 2θ 28.44, rel. 90; 2θ 30.24, rel. 85; 2θ 36.87, rel. 45; 2θ 39.11, rel. 35; 2θ 40.91, rel. 41; 2θ 42.61, rel. 34; 2θ 50.80, rel. 49

(4)
The following is a computed PXRD pattern of Ca2TbTmTe4. It was derived from the GGA-PBE geometry in Alexandria, using CuKα.

Structure:
```
Ca2TbTmTe4
1.0
7.590 0.000 0.000
0.000 4.384 0.000
-2.537 0.000 7.310
Ca Tb Tm Te
2 1 1 4
direct
0.000 0.000 0.000
0.500 0.500 0.000
0.000 0.500 0.500
0.500 0.000 0.500
0.251 0.000 0.745
0.256 0.500 0.258
0.744 0.500 0.742
0.749 0.000 0.255
```

Top 10 peaks for 10 to 90 degrees two-theta, in order of rising 2θ:
2θ 12.11, rel. 19; 2θ 23.79, rel. 10; 2θ 28.60, rel. 100; 2θ 40.60, rel. 38; 2θ 41.19, rel. 37; 2θ 50.92, rel. 20; 2θ 59.21, rel. 12; 2θ 66.63, rel. 17; 2θ 67.48, rel. 17; 2θ 74.67, rel. 12

(5)
The following is a computed PXRD pattern of Ca4TbTl2. It was derived from the GGA-PBE geometry in Alexandria, using CuKα.

Structure:
```
Ca4TbTl2
1.0
2.732 1.577 10.206
-2.732 1.577 10.206
0.000 -3.155 10.206
Ca Tb Tl
4 1 2
direct
0.102 0.102 0.102
0.295 0.295 0.295
0.705 0.705 0.705
0.898 0.898 0.898
0.500 0.500 0.500
0.401 0.401 0.401
0.599 0.599 0.599
```

Top 10 peaks for 10 to 90 degrees two-theta, in order of rising 2θ:
2θ 18.98, rel. 100; 2θ 19.64, rel. 28; 2θ 32.78, rel. 73; 2θ 34.90, rel. 60; 2θ 37.49, rel. 19; 2θ 38.15, rel. 18; 2θ 42.43, rel. 26; 2θ 48.63, rel. 23; 2θ 51.16, rel. 16; 2θ 59.89, rel. 25

(6)
The following is a computed PXRD pattern of CaTb2Tl6. It was derived from the GGA-PBE geometry in Alexandria, using CuKα.

Structure:
```
CaTb2Tl6
1.0
7.737 -3.792 0.000
7.737 3.792 0.000
-0.122 0.000 4.508
Ca Tb Tl
1 2 6
direct
0.000 0.000 0.000
0.205 0.205 0.509
0.795 0.795 0.491
0.145 0.549 0.992
0.306 0.694 0.500
0.451 0.855 0.008
0.549 0.145 0.992
0.694 0.306 0.500
0.855 0.451 0.008
```

Top 10 peaks for 10 to 90 degrees two-theta, in order of rising 2θ:
2θ 23.46, rel. 37; 2θ 28.49, rel. 54; 2θ 29.15, rel. 48; 2θ 30.04, rel. 67; 2θ 30.85, rel. 100; 2θ 32.77, rel. 55; 2θ 33.15, rel. 76; 2θ 34.80, rel. 51; 2θ 36.00, rel. 48; 2θ 40.00, rel. 61

(7)
The following is a computed PXRD pattern of Ca2Tb2Tl7. It was derived from the GGA-PBE geometry in Alexandria, using CuKα.

Structure:
```
Ca2Tb2Tl7
1.0
3.569 -5.966 0.000
3.569 5.966 0.000
0.000 0.000 8.368
Ca Tb Tl
2 2 7
direct
0.246 0.246 0.000
0.754 0.754 0.000
0.263 0.737 0.500
0.737 0.263 0.500
0.000 0.000 0.500
0.000 0.500 0.185
0.000 0.500 0.815
0.500 0.000 0.185
0.500 0.000 0.815
0.500 0.500 0.314
0.500 0.500 0.686
```

Top 10 peaks for 10 to 90 degrees two-theta, in order of rising 2θ:
2θ 14.85, rel. 29; 2θ 25.79, rel. 38; 2θ 27.16, rel. 93; 2θ 29.16, rel. 67; 2θ 29.96, rel. 100; 2θ 33.53, rel. 29; 2θ 35.53, rel. 70; 2θ 36.35, rel. 79; 2θ 40.88, rel. 61; 2θ 69.59, rel. 32

(8)
The following is a computed PXRD pattern of CaTb5Tl6. It was derived from the GGA-PBE geometry in Alexandria, using CuKα.

Structure:
```
CaTb5Tl6
1.0
5.415 0.000 0.000
0.000 7.569 0.000
-2.668 0.000 8.142
Ca Tb Tl
1 5 6
direct
0.000 0.000 0.000
0.000 0.500 0.000
0.334 0.000 0.669
0.334 0.500 0.668
0.666 0.000 0.331
0.666 0.500 0.332
0.167 0.251 0.334
0.167 0.749 0.334
0.500 0.250 0.000
0.500 0.750 0.000
0.833 0.251 0.666
0.833 0.749 0.666
```

Top 10 peaks for 10 to 90 degrees two-theta, in order of rising 2θ:
2θ 33.04, rel. 51; 2θ 33.27, rel. 100; 2θ 47.31, rel. 9; 2θ 47.55, rel. 9; 2θ 48.08, rel. 9; 2θ 59.08, rel. 20; 2θ 59.24, rel. 19; 2θ 59.58, rel. 19; 2θ 78.88, rel. 6; 2θ 80.08, rel. 8

(9)
The following is a computed PXRD pattern of CaTb4Y4. It was derived from the GGA-PBE geometry in Alexandria, using CuKα.

Structure:
```
CaTb4Y4
1.0
6.653 0.000 0.000
-0.992 9.018 0.000
-1.921 -3.151 9.909
Ca Tb Y
2 8 8
direct
0.001 0.258 0.259
0.999 0.742 0.741
0.126 0.357 0.611
0.219 0.959 0.399
0.333 0.075 0.743
0.402 0.649 0.948
0.598 0.351 0.052
0.667 0.925 0.257
0.781 0.041 0.601
0.874 0.643 0.389
0.063 0.311 0.930
0.279 0.026 0.066
0.338 0.581 0.250
0.444 0.694 0.591
0.556 0.306 0.409
0.662 0.419 0.750
0.721 0.974 0.934
0.937 0.689 0.070
```

Top 10 peaks for 10 to 90 degrees two-theta, in order of rising 2θ:
2θ 11.40, rel. 27; 2θ 29.75, rel. 23; 2θ 30.78, rel. 32; 2θ 30.96, rel. 31; 2θ 31.06, rel. 34; 2θ 31.22, rel. 100; 2θ 31.33, rel. 75; 2θ 31.46, rel. 76; 2θ 31.76, rel. 83; 2θ 56.21, rel. 33

(10)
The following is a computed PXRD pattern of CaTb6Y2. It was derived from the GGA-PBE geometry in Alexandria, using CuKα.

Structure:
```
CaTb6Y2
1.0
9.665 0.000 0.000
0.000 5.722 0.000
-2.078 0.000 10.763
Ca Tb Y
2 12 4
direct
0.222 0.250 0.369
0.778 0.750 0.631
0.107 0.750 0.181
0.115 0.750 0.522
0.116 0.750 0.854
0.219 0.250 0.707
0.439 0.750 0.741
0.447 0.750 0.404
0.553 0.250 0.596
0.561 0.250 0.259
0.781 0.750 0.293
0.884 0.250 0.146
0.885 0.250 0.478
0.893 0.250 0.819
0.224 0.250 0.035
0.445 0.750 0.076
0.555 0.250 0.924
0.776 0.750 0.965
```

Top 10 peaks for 10 to 90 degrees two-theta, in order of rising 2θ:
2θ 28.21, rel. 24; 2θ 31.26, rel. 24; 2θ 32.33, rel. 100; 2θ 42.60, rel. 16; 2θ 49.93, rel. 20; 2θ 56.32, rel. 21; 2θ 60.10, rel. 22; 2θ 60.74, rel. 16; 2θ 78.56, rel. 8; 2θ 82.39, rel. 13

(11)
The following is a computed PXRD pattern of CaTb7Y2. It was derived from the GGA-PBE geometry in Alexandria, using CuKα.

Structure:
```
CaTb7Y2
1.0
5.066 0.000 0.000
0.016 7.181 0.000
2.532 1.804 8.975
Ca Tb Y
1 7 2
direct
0.000 0.000 0.000
0.000 0.500 0.000
0.203 0.100 0.594
0.397 0.206 0.205
0.398 0.691 0.204
0.602 0.309 0.796
0.603 0.794 0.795
0.797 0.900 0.406
0.200 0.601 0.601
0.800 0.399 0.399
```

Top 10 peaks for 10 to 90 degrees two-theta, in order of rising 2θ:
2θ 30.52, rel. 100; 2θ 35.38, rel. 50; 2θ 50.89, rel. 30; 2θ 50.99, rel. 6; 2θ 60.45, rel. 10; 2θ 60.52, rel. 21; 2θ 60.62, rel. 11; 2θ 63.50, rel. 9; 2θ 82.90, rel. 10; 2θ 85.53, rel. 7

(12)
The following is a computed PXRD pattern of CaTb3Y7. It was derived from the GGA-PBE geometry in Alexandria, using CuKα.

Structure:
```
CaTb3Y7
1.0
5.858 -5.032 0.000
5.858 5.032 0.000
-0.573 0.000 6.449
Ca Tb Y
1 3 7
direct
0.000 0.000 0.000
0.330 0.670 0.500
0.500 0.500 0.000
0.670 0.330 0.500
0.000 0.000 0.500
0.076 0.416 0.757
0.267 0.267 0.292
0.416 0.076 0.757
0.584 0.924 0.243
0.733 0.733 0.708
0.924 0.584 0.243
```

Top 10 peaks for 10 to 90 degrees two-theta, in order of rising 2θ:
2θ 11.61, rel. 31; 2θ 13.73, rel. 18; 2θ 30.46, rel. 63; 2θ 30.64, rel. 62; 2θ 31.32, rel. 100; 2θ 32.90, rel. 50; 2θ 37.28, rel. 68; 2θ 50.44, rel. 25; 2θ 50.68, rel. 24; 2θ 57.75, rel. 18